# K4Na4Mo5W3O24
Theoretical X-ray diffraction stick pattern, Cu Kα (weighted mean of Kα1 and Kα2). Input: a DFT-relaxed cell (PBE+U, the Materials Project).
No peak broadening, texture or thermal motion is included.

Structural model:
```
data_K4Na4Mo5W3O24
_chemical_formula_sum 'K4 Na4 Mo5 W3 O24'
_space_group_name_H-M_alt 'P m m 2'
_space_group_IT_number 25
_cell_length_a 7.996
_cell_length_b 8.047
_cell_length_c 7.993
_cell_angle_alpha 90.00
_cell_angle_beta 90.00
_cell_angle_gamma 90.00
loop_
_space_group_symop_operation_xyz
'x,y,z'
'-x,-y,z'
'-x,y,z'
'x,-y,z'
loop_
_atom_site_label
_atom_site_type_symbol
_atom_site_fract_x
_atom_site_fract_y
_atom_site_fract_z
K1 K 0.248 0.247 0.000
Na1 Na 0.248 0.247 0.495
Mo1 Mo 0.000 0.000 0.251
Mo2 Mo 0.000 0.000 0.746
Mo3 Mo 0.000 0.500 0.249
Mo4 Mo 0.500 0.000 0.250
Mo5 Mo 0.500 0.000 0.746
W1 W 0.000 0.500 0.745
W2 W 0.500 0.500 0.250
W3 W 0.500 0.500 0.746
O1 O 0.000 0.000 0.004
O2 O 0.000 0.000 0.493
O3 O 0.000 0.239 0.253
O4 O 0.000 0.258 0.743
O5 O 0.000 0.500 0.501
O6 O 0.000 0.500 0.992
O7 O 0.238 0.000 0.743
O8 O 0.244 0.000 0.252
O9 O 0.244 0.500 0.744
O10 O 0.255 0.500 0.252
O11 O 0.500 0.000 0.011
O12 O 0.500 0.000 0.487
O13 O 0.500 0.258 0.252
O14 O 0.500 0.262 0.743
O15 O 0.500 0.500 0.005
O16 O 0.500 0.500 0.492
```

Largest 10 diffraction maxima, in order of rising 2θ, 2θ from 15° to 90°:
index, 2θ (°), I (rel.)
0 2 0, 22.1, 38
2 0 0, 22.2, 74
2 2 0, 31.6, 100
2 0 2, 31.7, 50
0 4 0, 45.1, 19
4 0 0, 45.4, 37
4 2 0, 51.1, 31
2 4 2, 56.1, 19
4 2 2, 56.3, 38
4 4 0, 65.9, 22